The following is a computed powder diffractogram of Li2VSi6O15. It was derived from the GGA+U geometry in Alexandria, using Cu Ka.

Crystal structure
```
Li2VSi6O15
1.0
6.990 0.000 0.000
0.000 12.655 0.000
-2.708 0.000 6.953
Li V Si O
4 2 12 30
direct
0.102 0.000 0.179
0.147 0.817 0.475
0.853 0.317 0.525
0.898 0.500 0.821
0.261 0.403 0.745
0.739 0.903 0.255
0.008 0.312 0.014
0.033 0.490 0.299
0.297 0.645 0.918
0.309 0.143 0.702
0.465 0.313 0.187
0.485 0.490 0.471
0.515 0.990 0.529
0.535 0.813 0.813
0.691 0.643 0.298
0.703 0.145 0.082
0.967 0.990 0.701
0.992 0.812 0.986
0.004 0.347 0.803
0.038 0.421 0.481
0.060 0.923 0.905
0.098 0.099 0.724
0.150 0.717 0.996
0.172 0.540 0.815
0.234 0.271 0.162
0.264 0.527 0.317
0.289 0.268 0.659
0.344 0.081 0.521
0.363 0.717 0.762
0.438 0.881 0.610
0.453 0.379 0.999
0.485 0.467 0.683
0.494 0.116 0.903
0.506 0.616 0.097
0.515 0.967 0.317
0.547 0.879 0.001
0.562 0.381 0.390
0.637 0.217 0.238
0.656 0.581 0.479
0.711 0.768 0.341
0.736 0.027 0.683
0.766 0.771 0.838
0.828 0.040 0.185
0.850 0.217 0.004
0.902 0.599 0.276
0.940 0.423 0.095
0.962 0.921 0.519
0.996 0.847 0.197
```

Peak list (10 most intense, 2θ from 10° to 90°, by angle)
Position (°2θ)	I_rel	h k l
14.0	49	0 2 0
15.3	100	1 1 0
19.0	96	0 2 1
21.8	78	1 0 1
22.9	40	1 1 1
25.9	82	1 3 -1
26.6	91	2 1 -1
28.1	87	1 2 -2
30.9	40	2 2 0
32.0	62	1 4 -1